1.
RbPrCrO4: simulated powder diffraction line list (a wavelength of 1.5418 Å), based on a PBE+U-relaxed structure.

Atomic structure:
```
14
Lattice="6.0429 0.0000 0.0000 0.0000 5.9885 0.0000 -2.3050 0.0000 7.4152" Properties=species:S:1:pos:R:3 pbc="T T T"
Rb 0.1778 1.4971 3.1652
Rb 3.5601 4.4914 4.2500
Pr -0.4250 1.4971 7.0779
Pr 4.1629 4.4914 0.3373
Cr 1.1064 4.4914 1.2445
Cr 2.6315 1.4971 6.1707
O -0.3536 4.4914 2.2558
O -1.8287 4.4914 7.0017
O 2.3318 3.1303 1.3389
O 2.3318 5.8524 1.3389
O 1.4061 0.1361 6.0763
O 1.4061 2.8582 6.0763
O 5.5666 1.4971 0.4135
O 4.0915 1.4971 5.1594
```

Principal peaks in the range 15° ≤ 2θ ≤ 90°, by intensity:
- d 4.155, 2θ 21.38, intensity 100
- d 2.994, 2θ 29.84, intensity 81
- d 3.152, 2θ 28.31, intensity 69
- d 3.117, 2θ 28.64, intensity 66
- d 2.513, 2θ 35.74, intensity 55
- d 2.459, 2θ 36.54, intensity 54
- d 2.688, 2θ 33.34, intensity 43
- d 2.078, 2θ 43.56, intensity 41
- d 4.013, 2θ 22.15, intensity 35
- d 1.629, 2θ 56.50, intensity 32
- d 2.885, 2θ 30.99, intensity 31
- d 2.329, 2θ 38.65, intensity 27

=====

2.
Pr2CrSiO6: simulated powder diffraction line list (a wavelength of 1.5418 Å), based on a PBE+U-relaxed structure.

Atomic structure:
```
10
Lattice="5.2522 0.0000 0.0000 0.0000 5.2522 0.0000 0.0000 0.0000 4.6488" Properties=species:S:1:pos:R:3 pbc="T T T"
Pr 0.0000 2.6261 0.0000
Pr 2.6261 0.0000 0.0000
Cr 0.0000 0.0000 2.6392
Si 2.6261 2.6261 2.5998
O 0.0000 0.0000 0.4668
O 1.4325 1.4325 3.0817
O 1.4325 3.8197 3.0817
O 2.6261 2.6261 0.9152
O 3.8197 1.4325 3.0817
O 3.8197 3.8197 3.0817
```

Principal peaks in the range 15° ≤ 2θ ≤ 90°, by intensity:
- d 2.902, 2θ 30.82, intensity 100
- d 2.626, 2θ 34.14, intensity 37
- d 1.564, 2θ 59.06, intensity 31
- d 2.286, 2θ 39.41, intensity 30
- d 4.649, 2θ 19.09, intensity 28
- d 1.741, 2θ 52.58, intensity 24
- d 1.857, 2θ 49.06, intensity 23
- d 3.714, 2θ 23.96, intensity 21
- d 1.970, 2θ 46.07, intensity 18
- d 2.324, 2θ 38.74, intensity 13
- d 1.451, 2θ 64.20, intensity 11
- d 1.430, 2θ 65.24, intensity 11

=====

3.
PrSmCr2O8: simulated powder diffraction line list (a wavelength of 1.5418 Å), based on a PBE+U-relaxed structure.

Atomic structure:
```
12
Lattice="-3.7088 3.7088 3.2166 3.7088 -3.7088 3.2166 3.7088 3.7088 -3.2166" Properties=species:S:1:pos:R:3 pbc="T T T"
Pr 0.0000 0.0000 0.0000
Sm 0.0000 3.7088 1.6083
Cr 3.7088 0.0000 1.6083
Cr 0.0000 0.0000 3.2166
O 2.3830 0.0000 0.5065
O 5.0346 0.0000 0.5065
O 3.7088 2.3561 -1.0755
O 3.7088 -1.3258 2.7101
O 0.0000 1.3528 2.1412
O 3.7088 1.3258 2.7101
O 2.3561 3.7088 1.0755
O 1.3528 0.0000 4.2921
```

Principal peaks in the range 15° ≤ 2θ ≤ 90°, by intensity:
- d 3.709, 2θ 23.99, intensity 100
- d 2.742, 2θ 32.66, intensity 68
- d 1.895, 2θ 48.00, intensity 57
- d 4.860, 2θ 18.25, intensity 29
- d 2.623, 2θ 34.19, intensity 22
- d 1.536, 2θ 60.25, intensity 17
- d 1.854, 2θ 49.13, intensity 15
- d 1.326, 2θ 71.13, intensity 14
- d 1.659, 2θ 55.39, intensity 13
- d 2.308, 2θ 39.03, intensity 13
- d 1.960, 2θ 46.34, intensity 12
- d 1.183, 2θ 81.34, intensity 11

=====

4.
PrZn3Cr4O12: simulated powder diffraction line list (a wavelength of 1.5418 Å), based on a PBE+U-relaxed structure.

Atomic structure:
```
20
Lattice="-3.7390 3.7390 3.7390 3.7390 -3.7390 3.7390 3.7390 3.7390 -3.7390" Properties=species:S:1:pos:R:3 pbc="T T T"
Pr 0.0000 0.0000 0.0000
Zn 3.7390 0.0000 0.0000
Zn 0.0000 3.7390 0.0000
Zn 0.0000 0.0000 3.7390
Cr 1.8695 1.8695 -1.8695
Cr 1.8695 -1.8695 1.8695
Cr -1.8695 1.8695 1.8695
Cr 1.8695 1.8695 1.8695
O 3.7390 -1.5143 2.3644
O 2.2248 1.3746 0.0000
O 5.2533 1.3746 0.0000
O 2.3644 3.7390 -1.5143
O 1.3746 0.0000 2.2248
O 0.0000 2.2248 1.3746
O 3.7390 1.5143 2.3644
O 2.3644 3.7390 1.5143
O 1.3746 0.0000 5.2533
O -1.5143 2.3644 3.7390
O 1.5143 2.3644 3.7390
O 0.0000 5.2533 1.3746
```

Principal peaks in the range 15° ≤ 2θ ≤ 90°, by intensity:
- d 2.644, 2θ 33.91, intensity 100
- d 1.526, 2θ 60.67, intensity 46
- d 1.870, 2θ 48.71, intensity 28
- d 1.182, 2θ 81.39, intensity 16
- d 1.322, 2θ 71.35, intensity 13
- d 5.288, 2θ 16.77, intensity 10
- d 2.159, 2θ 41.85, intensity 9
- d 1.999, 2θ 45.38, intensity 8
- d 2.365, 2θ 38.05, intensity 8
- d 3.739, 2θ 23.80, intensity 5
- d 3.053, 2θ 29.25, intensity 3
- d 1.246, 2θ 76.42, intensity 3